1.
Structure and simulated PXRD pattern of LiCe2US6 (a structure optimized by DFT (PBE); Cu Kα (λ = 1.5418 Å)).
Kinematic intensities with the Lorentz-polarization factor, no thermal factor.

Peak list (10 most intense, 2θ = 5–70°, in order of rising 2θ)
13.73 deg, rel. 23, (0 0 1)
14.01 deg, rel. 38, (1 0 0)
19.66 deg, rel. 37, (1 0 1)
24.22 deg, rel. 100, (1 1 1)
28.23 deg, rel. 33, (2 0 0)
34.29 deg, rel. 20, (1 1 2)
34.64 deg, rel. 20, (2 1 1)
39.94 deg, rel. 40, (2 0 2)
40.35 deg, rel. 32, (2 2 0)
47.62 deg, rel. 34, (3 1 1)

Structural model:
```
data_LiCe2US6
_chemical_formula_sum 'Li1 Ce2 U1 S6'
_cell_length_a 6.323
_cell_length_b 6.323
_cell_length_c 6.448
_cell_angle_alpha 90.00
_cell_angle_beta 90.00
_cell_angle_gamma 90.00
_symmetry_space_group_name_H-M 'P 4 m m'
_symmetry_Int_Tables_number 99
_symmetry_space_group_name_Hall 'P 4 -2'
loop_
_atom_site_label
_atom_site_type_symbol
_atom_site_fract_x
_atom_site_fract_y
_atom_site_fract_z
Li1 Li 0.000 0.000 0.000
Ce1 Ce 0.000 0.500 0.466
U1 U 0.500 0.500 0.048
S1 S 0.000 0.000 0.633
S2 S 0.241 0.241 0.204
S3 S 0.500 0.500 0.636
```

=====

2.
Structure and simulated PXRD pattern of LiCe2YS6 (a structure optimized by DFT (PBE); Cu Kα (λ = 1.5418 Å)).
Kinematic intensities with the Lorentz-polarization factor, no thermal factor.

Peak list (10 most intense, 2θ = 5–70°, in order of rising 2θ)
17.69 deg, rel. 100, (0 1 2)
24.41 deg, rel. 80, (1 0 4)
25.82 deg, rel. 61, (1 1 0)
29.70 deg, rel. 40, (1 1 3)
35.83 deg, rel. 43, (0 2 4)
39.29 deg, rel. 88, (2 -1 6)
44.69 deg, rel. 41, (2 1 4)
45.54 deg, rel. 50, (3 0 0)
51.97 deg, rel. 26, (1 0 10)
61.68 deg, rel. 22, (2 2 6)

Structural model:
```
data_LiCe2YS6
_chemical_formula_sum 'Li3 Ce6 Y3 S18'
_cell_length_a 6.9007
_cell_length_b 6.9007
_cell_length_c 18.4118
_cell_angle_alpha 90.00
_cell_angle_beta 90.00
_cell_angle_gamma 120.00
_symmetry_space_group_name_H-M 'R 3'
_symmetry_Int_Tables_number 146
_symmetry_space_group_name_Hall 'R 3'
loop_
_atom_site_label
_atom_site_type_symbol
_atom_site_fract_x
_atom_site_fract_y
_atom_site_fract_z
Li1 Li 0.0000 0.0000 0.0000
Ce1 Ce 0.0000 0.0000 0.2989
Ce2 Ce 0.0000 0.0000 0.8000
Y1 Y 0.0000 0.0000 0.4989
S1 S 0.0036 0.3011 0.3972
S2 S 0.0338 0.6686 0.5643
```

=====

3.
Structure and simulated PXRD pattern of LiCeZrS4 (a structure optimized by DFT (PBE); Cu Kα (λ = 1.5418 Å)).
Kinematic intensities with the Lorentz-polarization factor, no thermal factor.

Peak list (10 most intense, 2θ = 5–70°, in order of rising 2θ)
13.42 deg, rel. 78, (0 1 1)
14.26 deg, rel. 100, (1 0 1)
26.05 deg, rel. 54, (1 2 1)
26.84 deg, rel. 26, (1 0 3)
27.38 deg, rel. 20, (2 1 1)
32.20 deg, rel. 49, (0 0 4)
32.38 deg, rel. 97, (2 2 0)
34.76 deg, rel. 23, (1 2 3)
44.19 deg, rel. 19, (0 4 0)
46.31 deg, rel. 69, (2 2 4)

Structural model:
```
data_LiCeZrS4
_chemical_formula_sum 'Li4 Ce4 Zr4 S16'
_cell_length_a 7.491
_cell_length_b 8.197
_cell_length_c 11.119
_cell_angle_alpha 90.00
_cell_angle_beta 90.00
_cell_angle_gamma 90.00
_symmetry_space_group_name_H-M 'I m m a'
_symmetry_Int_Tables_number 74
_symmetry_space_group_name_Hall '-I 2b 2'
loop_
_atom_site_label
_atom_site_type_symbol
_atom_site_fract_x
_atom_site_fract_y
_atom_site_fract_z
Li1 Li 0.000 0.250 0.128
Ce1 Ce 0.000 0.000 0.500
Zr1 Zr 0.250 0.250 0.750
S1 S 0.000 0.028 0.751
S2 S 0.249 0.250 0.517
```

=====

4.
Structure and simulated PXRD pattern of Li3Ce4Sb8 (a structure optimized by DFT (PBE); Cu Kα (λ = 1.5418 Å)).
Kinematic intensities with the Lorentz-polarization factor, no thermal factor.

Peak list (10 most intense, 2θ = 5–70°, in order of rising 2θ)
8.64 deg, rel. 21, (0 0 2)
26.13 deg, rel. 23, (0 0 6)
26.81 deg, rel. 27, (1 0 4)
30.17 deg, rel. 44, (1 1 2)
33.30 deg, rel. 21, (1 0 6)
33.85 deg, rel. 100, (1 1 4)
41.26 deg, rel. 46, (2 0 0)
49.15 deg, rel. 16, (1 0 10)
49.49 deg, rel. 16, (2 0 6)
59.77 deg, rel. 15, (2 2 0)

Structural model:
```
data_Li3Ce4Sb8
_chemical_formula_sum 'Li3 Ce4 Sb8'
_cell_length_a 4.377
_cell_length_b 4.377
_cell_length_c 20.464
_cell_angle_alpha 90.00
_cell_angle_beta 90.00
_cell_angle_gamma 90.00
_symmetry_space_group_name_H-M 'P -4 m 2'
_symmetry_Int_Tables_number 115
_symmetry_space_group_name_Hall 'P -4 -2'
loop_
_atom_site_label
_atom_site_type_symbol
_atom_site_fract_x
_atom_site_fract_y
_atom_site_fract_z
Li1 Li 0.000 0.000 0.000
Li2 Li 0.000 0.000 0.500
Li3 Li 0.500 0.500 0.000
Ce1 Ce 0.000 0.500 0.140
Ce2 Ce 0.000 0.500 0.617
Sb1 Sb 0.000 0.000 0.261
Sb2 Sb 0.000 0.500 0.426
Sb3 Sb 0.000 0.500 0.912
Sb4 Sb 0.500 0.500 0.261
```

=====

5.
Structure and simulated PXRD pattern of LiCeSb3 (a structure optimized by DFT (PBE); Cu Kα (λ = 1.5418 Å)).
Kinematic intensities with the Lorentz-polarization factor, no thermal factor.

Peak list (10 most intense, 2θ = 5–70°, in order of rising 2θ)
6.50 deg, rel. 61, (1 0 0)
28.31 deg, rel. 51, (0 0 2)
31.29 deg, rel. 53, (2 0 2)
32.02 deg, rel. 100, (2 2 0)
32.95 deg, rel. 40, (5 0 0)
34.67 deg, rel. 47, (3 0 2)
35.35 deg, rel. 35, (3 2 0)
41.63 deg, rel. 47, (1 2 2)
49.39 deg, rel. 29, (4 2 2)
68.32 deg, rel. 34, (2 2 4)

Structural model:
```
data_LiCeSb3
_chemical_formula_sum 'Li4 Ce4 Sb12'
_cell_length_a 13.593
_cell_length_b 6.132
_cell_length_c 6.301
_cell_angle_alpha 90.00
_cell_angle_beta 90.00
_cell_angle_gamma 90.00
_symmetry_space_group_name_H-M 'P b c m'
_symmetry_Int_Tables_number 57
_symmetry_space_group_name_Hall '-P 2c 2b'
loop_
_atom_site_label
_atom_site_type_symbol
_atom_site_fract_x
_atom_site_fract_y
_atom_site_fract_z
Li1 Li 0.103 0.250 0.000
Ce1 Ce 0.318 0.509 0.250
Sb1 Sb 0.083 0.712 0.250
Sb2 Sb 0.253 0.006 0.250
Sb3 Sb 0.498 0.250 0.000
```

=====

6.
Structure and simulated PXRD pattern of LiCe5Sb3 (a structure optimized by DFT (PBE); Cu Kα (λ = 1.5418 Å)).
Kinematic intensities with the Lorentz-polarization factor, no thermal factor.

Peak list (10 most intense, 2θ = 5–70°, in order of rising 2θ)
10.81 deg, rel. 18, (1 0 0)
27.77 deg, rel. 13, (0 0 2)
32.12 deg, rel. 16, (2 1 1)
32.83 deg, rel. 100, (3 0 0)
33.74 deg, rel. 82, (1 1 2)
43.53 deg, rel. 17, (3 0 2)
47.79 deg, rel. 28, (2 2 2)
58.61 deg, rel. 15, (3 3 0)
59.20 deg, rel. 26, (4 1 2)
67.70 deg, rel. 24, (3 0 4)

Structural model:
```
data_LiCe5Sb3
_chemical_formula_sum 'Li2 Ce10 Sb6'
_cell_length_a 9.4500
_cell_length_b 9.4500
_cell_length_c 6.4239
_cell_angle_alpha 90.00
_cell_angle_beta 90.00
_cell_angle_gamma 120.00
_symmetry_space_group_name_H-M 'P 63/m c m'
_symmetry_Int_Tables_number 193
_symmetry_space_group_name_Hall '-P 6c 2'
loop_
_atom_site_label
_atom_site_type_symbol
_atom_site_fract_x
_atom_site_fract_y
_atom_site_fract_z
Li1 Li 0.0000 0.0000 0.0000
Ce1 Ce 0.0000 0.3039 0.2500
Ce2 Ce 0.3333 0.6667 0.0000
Sb1 Sb 0.0000 0.3571 0.7500
```